The following is a theoretical powder XRD pattern of CrCd2Hg. It was derived from DFT lattice parameters and positions (PBE), using Cu Kα (weighted mean of Kα1 and Kα2).
Kinematic intensities with the Lorentz-polarization factor, no thermal factor.

The 10 most intense peaks (2θ from 5° to 70°), low angle first:
h k l	two_theta	Rel. int.
0 0 1	14.63	25
0 1 1	26.34	22
1 0 1	30.31	16
1 1 0	34.48	100
0 1 2	36.97	82
1 0 2	40.01	66
0 2 0	44.40	24
2 0 0	54.35	13
1 2 2	61.28	45
2 1 2	67.56	27

Structure:
```
4
Lattice="3.376 0.000 0.000 0.000 4.080 0.000 0.000 0.000 6.054" Properties=species:S:1:pos:R:3 pbc="T T T"
Cr 0.000 0.000 0.000
Cd 1.688 2.040 1.445
Cd 1.688 2.040 4.610
Hg 0.000 0.000 3.027
```